Record 1
This entry pairs a crystal structure of Co4Ni25 with its theoretical powder XRD pattern. Radiation: Cu Ka. Structure: a crystal structure in OQMD, relaxed with GGA-PBE.
Intensities are scaled so that the largest is 100.

Principal peaks in the range 2θ from 10° to 80°, sorted by position:
2θ (°)  d_spacing  intensity
39.28  2.293  2
42.12  2.145  10
44.81  2.023  100
49.84  1.829  31
52.22  1.752  11
54.53  1.683  16
71.21  1.324  2
73.16  1.294  2
76.99  1.239  4
78.88  1.214  9

Atomic structure:
```
29
Lattice="-4.291 4.291 4.291 4.291 -4.291 4.291 4.291 4.291 -4.291" Properties=species:S:1:pos:R:3 pbc="T T T"
Co 2.770 2.770 -2.770
Co 2.770 -2.770 2.770
Co 1.521 1.521 1.521
Co -2.770 2.770 2.770
Ni 0.000 0.000 0.000
Ni 2.426 0.799 -0.799
Ni 2.426 -0.799 0.799
Ni 4.699 1.185 -1.185
Ni 4.699 -1.185 1.185
Ni 6.155 0.799 0.799
Ni 0.799 2.426 -0.799
Ni 0.799 -0.799 2.426
Ni 3.882 1.185 1.185
Ni 3.106 3.106 -0.408
Ni 3.106 -0.408 3.106
Ni -0.799 2.426 0.799
Ni -0.799 0.799 2.426
Ni 1.185 4.699 -1.185
Ni 1.185 -1.185 4.699
Ni 1.185 3.882 1.185
Ni 1.185 1.185 3.882
Ni 3.492 3.492 1.865
Ni 3.492 1.865 3.492
Ni -1.185 4.699 1.185
Ni -1.185 1.185 4.699
Ni -0.408 3.106 3.106
Ni 0.799 6.155 0.799
Ni 0.799 0.799 6.155
Ni 1.865 3.492 3.492
```

---

Record 2
This entry pairs a crystal structure of SrZnSO with its theoretical powder XRD pattern. Radiation: Cu Ka. Structure: a crystal structure in OQMD, relaxed with GGA-PBE.
Intensities are scaled so that the largest is 100.

Principal peaks in the range 2θ from 10° to 80°, sorted by position:
2θ (°)  d_spacing  intensity
26.90  3.315  100
32.12  2.787  36
32.83  2.728  47
34.88  2.573  57
38.82  2.320  31
44.95  2.017  34
46.88  1.938  23
47.68  1.908  20
57.02  1.615  18
59.09  1.563  22

Atomic structure:
```
16
Lattice="5.987 0.000 0.000 0.000 6.694 0.000 0.000 0.000 7.630" Properties=species:S:1:pos:R:3 pbc="T T T"
Sr 0.576 0.136 1.081
Sr 2.417 6.558 4.896
Sr 3.569 3.211 6.549
Sr 5.411 3.484 2.734
Zn 0.455 4.421 6.749
Zn 2.538 2.274 2.934
Zn 3.448 5.621 0.881
Zn 5.532 1.073 4.696
S 0.687 2.111 6.487
S 2.306 4.583 2.672
S 3.681 1.236 1.143
S 5.299 5.458 4.958
O 0.801 1.386 3.161
O 2.192 5.308 6.976
O 3.795 1.961 4.469
O 5.185 4.733 0.654
```

---

Record 3
This entry pairs a crystal structure of TbSi2IrPd with its theoretical powder XRD pattern. Radiation: Cu Ka. Structure: a crystal structure in OQMD, relaxed with GGA-PBE.
Intensities are scaled so that the largest is 100.

Principal peaks in the range 2θ from 10° to 80°, sorted by position:
2θ (°)  d_spacing  intensity
17.60  5.038  12
23.49  3.787  26
34.57  2.595  22
35.64  2.519  19
35.82  2.507  100
44.33  2.043  34
58.13  1.587  19
64.14  1.452  17
64.49  1.445  11
76.03  1.252  22

Atomic structure:
```
10
Lattice="4.087 0.000 0.000 0.000 4.087 0.000 0.000 0.000 10.076" Properties=species:S:1:pos:R:3 pbc="T T T"
Tb 0.000 0.000 0.000
Tb 2.043 2.043 5.038
Si 0.000 0.000 3.861
Si 0.000 0.000 6.215
Si 2.043 2.043 1.177
Si 2.043 2.043 8.899
Ir 0.000 2.043 2.519
Ir 2.043 0.000 7.557
Pd 0.000 2.043 7.557
Pd 2.043 0.000 2.519
```

---

Record 4
This entry pairs a crystal structure of Dy2Y3Er3 with its theoretical powder XRD pattern. Radiation: Cu Ka. Structure: a crystal structure in OQMD, relaxed with GGA-PBE.
Intensities are scaled so that the largest is 100.

Principal peaks in the range 2θ from 10° to 80°, sorted by position:
2θ (°)  d_spacing  intensity
14.15  6.257  6
28.54  3.128  24
31.93  2.803  24
32.79  2.731  100
43.35  2.087  16
50.54  1.806  21
57.45  1.604  20
61.04  1.518  22
61.56  1.506  16
74.15  1.279  3

Atomic structure:
```
16
Lattice="5.606 0.000 0.000 0.000 7.221 0.000 0.000 0.000 12.515" Properties=species:S:1:pos:R:3 pbc="T T T"
Dy 0.000 0.000 0.000
Dy 0.000 3.610 6.258
Dy 2.803 0.000 4.172
Dy 2.803 3.610 10.429
Y 0.000 1.806 3.123
Y 0.000 1.805 9.381
Y 0.000 5.415 3.123
Y 0.000 5.416 9.381
Y 2.803 0.000 10.426
Y 2.803 3.610 4.168
Er 0.000 0.000 6.258
Er 0.000 3.610 0.000
Er 2.803 1.808 1.039
Er 2.803 1.802 7.296
Er 2.803 5.413 1.039
Er 2.803 5.419 7.296
```

---

Record 5
This entry pairs a crystal structure of Hf2PIBr with its theoretical powder XRD pattern. Radiation: Cu Ka. Structure: a crystal structure in OQMD, relaxed with GGA-PBE.
Intensities are scaled so that the largest is 100.

Principal peaks in the range 2θ from 10° to 80°, sorted by position:
2θ (°)  d_spacing  intensity
26.76  3.332  25
32.24  2.776  100
38.10  2.362  28
45.19  2.006  20
47.25  1.924  30
53.24  1.720  9
58.36  1.581  18
60.64  1.527  10
67.42  1.389  15
78.27  1.221  16

Atomic structure:
```
5
Lattice="3.847 0.000 0.000 -1.924 3.332 0.000 0.000 0.000 10.045" Properties=species:S:1:pos:R:3 pbc="T T T"
Hf 0.000 0.000 0.000
Hf 0.000 2.221 2.431
P 1.924 1.111 1.219
I 0.000 2.221 7.997
Br 0.000 0.000 4.263
```

---

Record 6
This entry pairs a crystal structure of Sc2Ga3SnPt2 with its theoretical powder XRD pattern. Radiation: Cu Ka. Structure: a crystal structure in OQMD, relaxed with GGA-PBE.
Intensities are scaled so that the largest is 100.

Principal peaks in the range 2θ from 10° to 80°, sorted by position:
2θ (°)  d_spacing  intensity
17.75  4.998  100
26.06  3.419  88
34.84  2.575  51
35.01  2.563  93
36.49  2.463  83
41.99  2.152  93
43.34  2.088  57
43.78  2.068  78
46.28  1.962  59
50.32  1.813  51

Atomic structure:
```
16
Lattice="9.996 0.000 0.000 0.000 4.303 0.000 -0.083 0.000 6.760" Properties=species:S:1:pos:R:3 pbc="T T T"
Sc 0.000 0.000 0.000
Sc 1.597 0.000 3.584
Sc 4.998 2.152 0.000
Sc 6.595 2.152 3.584
Ga 1.990 2.152 5.550
Ga 2.206 2.152 1.499
Ga 4.442 0.000 4.945
Ga 6.988 0.000 5.550
Ga 7.204 0.000 1.499
Ga 9.440 2.152 4.945
Sn 4.562 0.000 2.132
Sn 9.560 2.152 2.132
Pt 2.791 0.000 0.095
Pt 3.690 2.152 3.617
Pt 7.789 2.152 0.095
Pt 8.688 0.000 3.617
```

---

Record 7
This entry pairs a crystal structure of Cs2PrHoSe4 with its theoretical powder XRD pattern. Radiation: Cu Ka. Structure: a crystal structure in OQMD, relaxed with GGA-PBE.
Intensities are scaled so that the largest is 100.

Principal peaks in the range 2θ from 10° to 80°, sorted by position:
2θ (°)  d_spacing  intensity
10.58  8.358  18
26.01  3.426  73
28.66  3.114  100
32.05  2.793  29
40.31  2.238  54
41.65  2.168  57
51.34  1.780  19
59.35  1.557  17
68.17  1.376  16
75.11  1.265  17

Atomic structure:
```
8
Lattice="4.337 0.000 0.000 -2.168 3.756 0.000 0.000 0.000 16.716" Properties=species:S:1:pos:R:3 pbc="T T T"
Cs 0.000 2.504 4.120
Cs 2.168 1.252 12.596
Pr 0.000 0.000 8.358
Ho 0.000 0.000 0.000
Se 0.000 2.504 10.007
Se 0.000 2.504 15.210
Se 2.168 1.252 1.506
Se 2.168 1.252 6.709
```

---

Record 8
This entry pairs a crystal structure of YTaCo2Bi2 with its theoretical powder XRD pattern. Radiation: Cu Ka. Structure: a crystal structure in OQMD, relaxed with GGA-PBE.
Intensities are scaled so that the largest is 100.

Principal peaks in the range 2θ from 10° to 80°, sorted by position:
2θ (°)  d_spacing  intensity
24.63  3.614  17
28.52  3.130  78
40.75  2.214  100
40.87  2.208  21
50.45  1.809  12
50.56  1.805  11
59.07  1.564  13
66.77  1.401  15
74.16  1.279  25
74.34  1.276  14

Atomic structure:
```
12
Lattice="4.416 0.000 0.000 0.000 8.859 0.000 0.000 0.000 6.270" Properties=species:S:1:pos:R:3 pbc="T T T"
Y 0.000 1.097 0.000
Y 2.208 7.763 3.135
Ta 0.000 5.502 0.149
Ta 2.208 3.358 3.284
Co 0.000 3.471 1.758
Co 0.000 7.511 1.481
Co 2.208 1.348 4.615
Co 2.208 5.388 4.893
Bi 0.000 1.164 3.123
Bi 0.000 5.525 3.321
Bi 2.208 3.334 0.186
Bi 2.208 7.696 6.258
```

---

Question: Number 5 is which compound?
Answer: Hf2PIBr